Diffraction record for BaMg14Cr. The powder XRD pattern is theoretical, not measured: it uses a PBE-relaxed structure and Cu Kα X-rays.

Crystal structure
```
data_BaMg14Cr
_chemical_formula_sum 'Ba1 Mg14 Cr1'
_space_group_name_H-M_alt 'P 1'
_space_group_IT_number 1
_cell_length_a 6.5876
_cell_length_b 6.5876
_cell_length_c 10.5244
_cell_angle_alpha 90.00
_cell_angle_beta 90.00
_cell_angle_gamma 120.00
loop_
_space_group_symop_operation_xyz
'x,y,z'
loop_
_atom_site_label
_atom_site_type_symbol
_atom_site_fract_x
_atom_site_fract_y
_atom_site_fract_z
Ba1 Ba 0.0000 0.0000 0.0000
Mg1 Mg 0.0126 0.5063 0.0000
Mg2 Mg 0.1695 0.3390 0.2683
Mg3 Mg 0.1695 0.3390 0.7317
Mg4 Mg 0.1695 0.8305 0.2683
Mg5 Mg 0.1695 0.8305 0.7317
Mg6 Mg 0.4937 0.5063 0.0000
Mg7 Mg 0.4937 0.9874 0.0000
Mg8 Mg 0.5023 0.0047 0.5000
Mg9 Mg 0.5023 0.4977 0.5000
Mg10 Mg 0.6610 0.8305 0.2683
Mg11 Mg 0.6610 0.8305 0.7317
Mg12 Mg 0.6667 0.3333 0.2427
Mg13 Mg 0.6667 0.3333 0.7573
Mg14 Mg 0.9953 0.4977 0.5000
Cr1 Cr 0.0000 0.0000 0.5000
```

Most intense lines, 15 to 90 degrees two-theta, in order of falling intensity:
hkl 2 0 2, 35.81 deg, rel. 100; hkl 1 0 0, 15.53 deg, rel. 30; hkl 2 0 0, 31.36 deg, rel. 28; hkl 1 0 2, 22.99 deg, rel. 27; hkl 0 0 4, 34.08 deg, rel. 24; hkl 2 2 4, 67.04 deg, rel. 18